No. 1
For Dy2Cu3Si4, a cell relaxed with PBE gives the calculated XRD peak list in this record (Cu Ka).
Intensities are scaled so that the largest is 100.

Main lines, low angle first (15 to 90 degrees two-theta):
2theta	d (Å)	I (rel.)
21.2	4.183	23
27.5	3.244	34
30.2	2.961	26
35.0	2.565	47
37.2	2.415	100
39.3	2.295	52
41.3	2.185	41
41.4	2.183	21
56.7	1.623	19
64.2	1.450	24

Cell and atoms:
a b c (Å): 7.7506 7.7506 7.2625
angles (deg): 90.00 90.00 138.69
Fractional coordinates of all 18 atoms:
1 Dy 0.1088 0.8912 0.9038
2 Dy 0.3912 0.6088 0.4038
3 Dy 0.6088 0.3912 0.5962
4 Dy 0.8912 0.1088 0.0962
5 Cu 0.0000 0.0000 0.5000
6 Cu 0.0261 0.4739 0.7500
7 Cu 0.4739 0.0261 0.2500
8 Cu 0.5000 0.5000 0.0000
9 Cu 0.5261 0.9739 0.7500
10 Cu 0.9739 0.5261 0.2500
11 Si 0.1791 0.8209 0.5182
12 Si 0.1907 0.3093 0.7500
13 Si 0.3093 0.1907 0.2500
14 Si 0.3209 0.6791 0.0182
15 Si 0.6791 0.3209 0.9818
16 Si 0.6907 0.8093 0.7500
17 Si 0.8093 0.6907 0.2500
18 Si 0.8209 0.1791 0.4818

***

No. 2
For Zn7GaCu3, a cell relaxed with PBE gives the calculated XRD peak list in this record (Cu Ka).
Intensities are scaled so that the largest is 100.

Main lines, low angle first (15 to 90 degrees two-theta):
2theta	d (Å)	I (rel.)
23.4	3.800	7
40.8	2.213	100
42.2	2.140	28
47.9	1.900	59
69.0	1.361	19
71.1	1.326	17
83.4	1.159	11
84.3	1.148	20
86.3	1.127	9
88.3	1.106	9

Cell and atoms:
a b c (Å): 5.4438 5.4438 6.4185
angles (deg): 90.00 90.00 120.00
Fractional coordinates of all 11 atoms:
1 Zn 0.0000 0.0000 0.0000
2 Zn 0.0039 0.5019 0.0063
3 Zn 0.1682 0.3364 0.6409
4 Zn 0.1682 0.8318 0.6409
5 Zn 0.4981 0.5019 0.0063
6 Zn 0.4981 0.9961 0.0063
7 Zn 0.6636 0.8318 0.6409
8 Ga 0.6667 0.3333 0.6384
9 Cu 0.3312 0.1656 0.3211
10 Cu 0.8344 0.1656 0.3211
11 Cu 0.8344 0.6688 0.3211

***

No. 3
For Li4Ti3GeS8, a cell relaxed with PBE gives the calculated XRD peak list in this record (Cu Ka).
Intensities are scaled so that the largest is 100.

Main lines, low angle first (15 to 90 degrees two-theta):
2theta	d (Å)	I (rel.)
29.2	3.056	24
35.1	2.558	100
45.7	1.986	12
49.9	1.828	33
51.0	1.790	31
53.4	1.716	11
63.4	1.467	15
74.1	1.279	9
83.9	1.153	13
85.6	1.134	13

Cell and atoms:
a b c (Å): 7.3135 7.3135 7.3135
angles (deg): 58.62 58.62 58.62
Fractional coordinates of all 16 atoms:
1 Li 0.0000 0.0000 0.0000
2 Li 0.0000 0.5000 0.5000
3 Li 0.5000 0.0000 0.5000
4 Li 0.5000 0.5000 0.0000
5 Ti 0.0000 0.0000 0.5000
6 Ti 0.0000 0.5000 0.0000
7 Ti 0.5000 0.0000 0.0000
8 Ge 0.5000 0.5000 0.5000
9 S 0.2356 0.7489 0.7489
10 S 0.2457 0.2457 0.2457
11 S 0.2511 0.2511 0.7644
12 S 0.2511 0.7644 0.2511
13 S 0.7489 0.2356 0.7489
14 S 0.7489 0.7489 0.2356
15 S 0.7543 0.7543 0.7543
16 S 0.7644 0.2511 0.2511

***

No. 4
For TmTl2HgF6, a cell relaxed with PBE gives the calculated XRD peak list in this record (Cu Ka).
Intensities are scaled so that the largest is 100.

Main lines, low angle first (15 to 90 degrees two-theta):
2theta	d (Å)	I (rel.)
25.4	3.513	23
26.7	3.336	100
27.5	3.238	28
37.8	2.381	25
38.5	2.338	14
45.5	1.992	12
48.0	1.896	11
48.2	1.888	21
50.8	1.798	9
55.1	1.668	12

Cell and atoms:
a b c (Å): 6.4765 9.3497 7.0258
angles (deg): 90.00 90.00 90.00
Fractional coordinates of all 20 atoms:
1 Tm 0.2500 0.2500 0.2314
2 Tm 0.7500 0.7500 0.7686
3 Tl 0.2500 0.5341 0.8069
4 Tl 0.2500 0.9659 0.8069
5 Tl 0.7500 0.0341 0.1931
6 Tl 0.7500 0.4659 0.1931
7 Hg 0.2500 0.7500 0.2888
8 Hg 0.7500 0.2500 0.7112
9 F 0.0023 0.7500 0.9731
10 F 0.0094 0.2500 0.4364
11 F 0.2500 0.0227 0.1864
12 F 0.2500 0.4773 0.1864
13 F 0.4906 0.2500 0.4364
14 F 0.4977 0.7500 0.9731
15 F 0.5023 0.2500 0.0269
16 F 0.5094 0.7500 0.5636
17 F 0.7500 0.5227 0.8136
18 F 0.7500 0.9773 0.8136
19 F 0.9906 0.7500 0.5636
20 F 0.9977 0.2500 0.0269